Computed powder XRD pattern
Compound: Na4AlSi2SnPO12
Radiation: Cu Ka
Structure: a PBE-relaxed structure

Top 10 peaks for 15 to 90 degrees two-theta, sorted by position:
| 2theta | I_rel |
| --- | --- |
| 19.80 | 68 |
| 19.90 | 23 |
| 24.32 | 16 |
| 28.19 | 30 |
| 31.55 | 100 |
| 34.74 | 38 |
| 45.24 | 21 |
| 47.54 | 18 |
| 47.70 | 27 |
| 60.22 | 16 |

Structure:
a = 8.925 Å, b = 8.925 Å, c = 8.957 Å
α = 119.72°, β = 119.72°, γ = 60.25°
Positions (direct):
Na (0.061, 0.939, 0.500)
Na (0.197, 0.432, 0.992)
Na (0.313, 0.820, 0.243)
Na (0.432, 0.197, 0.492)
Na (0.565, 0.705, 0.001)
Na (0.705, 0.565, 0.501)
Na (0.820, 0.313, 0.743)
Na (0.939, 0.061, 0.000)
Al (0.156, 0.678, 0.807)
Al (0.678, 0.156, 0.307)
Si (0.063, 0.281, 0.507)
Si (0.281, 0.063, 0.007)
Si (0.778, 0.864, 0.505)
Si (0.864, 0.778, 0.005)
Sn (0.465, 0.967, 0.699)
Sn (0.967, 0.465, 0.199)
P (0.362, 0.564, 0.507)
P (0.564, 0.362, 0.007)
O (0.048, 0.749, 0.982)
O (0.052, 0.289, 0.322)
O (0.089, 0.240, 0.015)
O (0.095, 0.463, 0.680)
O (0.191, 0.549, 0.330)
O (0.240, 0.089, 0.515)
O (0.257, 0.879, 0.979)
O (0.289, 0.052, 0.822)
O (0.329, 0.590, 0.671)
O (0.383, 0.733, 0.515)
O (0.396, 0.534, 0.982)
O (0.463, 0.095, 0.180)
O (0.534, 0.396, 0.482)
O (0.549, 0.191, 0.830)
O (0.589, 0.885, 0.516)
O (0.590, 0.329, 0.171)
O (0.681, 0.789, 0.821)
O (0.733, 0.383, 0.015)
O (0.749, 0.048, 0.482)
O (0.789, 0.681, 0.321)
O (0.829, 0.962, 0.178)
O (0.879, 0.257, 0.479)
O (0.885, 0.589, 0.016)
O (0.962, 0.829, 0.678)